For Co3PO7, a crystal structure in OQMD, relaxed with GGA+U gives the simulated powder XRD pattern in this record (λ = 1.5418 Å (Cu Kα)).

Principal peaks in the range 2θ from 10° to 90°, in order of falling intensity:
hkl 0 2 1, 29.12°, I = 100; hkl 2 0 2, 37.08°, I = 22; hkl 0 3 3, 57.02°, I = 19; hkl 1 2 2, 43.80°, I = 18; hkl 1 0 1, 18.31°, I = 17; hkl 2 3 2, 65.23°, I = 11; hkl 2 2 0, 45.80°, I = 11; hkl 3 2 1, 60.33°, I = 11; hkl 3 0 0, 39.39°, I = 8; hkl 3 3 0, 71.42°, I = 6

```
data_Co3PO7
_cell_length_a 7.9249
_cell_length_b 7.9249
_cell_length_c 6.8427
_cell_angle_alpha 90.00
_cell_angle_beta 90.00
_cell_angle_gamma 120.00
_space_group_name_H-M_alt 'R 3 m'
_space_group_IT_number 160
_space_group_name_Hall 'R 3 -2"'
loop_
_atom_site_label
_atom_site_fract_x
_atom_site_fract_y
_atom_site_fract_z
Co1 0.2021 0.4042 0.0000
P1 0.0000 0.0000 0.7362
O1 0.0000 0.0000 0.5040
O2 0.0845 0.5423 0.8878
O3 0.1070 0.2140 0.7962
```